Structure and simulated powder XRD pattern of VGe2O6 (a crystal structure in the Materials Project, relaxed with PBE+U; a wavelength of 1.5418 Å).
Lines closer than 0.1° are merged.

Atomic structure:
Cell: 5.5976 6.6646 6.7781 Å, 83.34 75.01 75.27°
Space group P-1 (No. 2)
Inequivalent atoms, fractional coordinates:
V1 0.2466 0.4049 0.0990
Ge1 0.2371 0.2918 0.6148
Ge2 0.2628 0.8814 0.2092
O1 0.0553 0.1038 0.6625
O2 0.1171 0.4609 0.8254
O3 0.2520 0.1308 0.0852
O4 0.2562 0.4184 0.3719
O5 0.3752 0.6711 0.0384
O6 0.4478 0.8404 0.3888

Principal peaks in the range 2θ = 10–90°, most intense first:
(1 0 2), d 3.131, 28.5°, rel. 1000
(0 1 -1), d 4.468, 19.9°, rel. 963
(1 2 0), d 3.085, 28.9°, rel. 958
(2 0 0), d 2.628, 34.1°, rel. 936
(1 -1 1), d 3.405, 26.2°, rel. 648
(0 1 2), d 2.980, 30.0°, rel. 639

=====

Structure and simulated powder XRD pattern of Na2LuPWO8 (a crystal structure in the Materials Project, relaxed with PBE+U; a wavelength of 1.5418 Å).
Lines closer than 0.1° are merged.

Atomic structure:
Cell: 6.8275 12.1094 18.2620 Å, 90.00 90.00 90.00°
Space group Ibca (No. 73)
Inequivalent atoms, fractional coordinates:
Na1 0.0098 0.0633 0.1530
Lu1 0.2500 0.1772 0.5000
P1 0.2500 0.0698 0.0000
W1 0.0000 0.2500 0.3247
O1 0.0445 0.1294 0.7691
O2 0.0731 0.1505 0.0075
O3 0.2156 0.2236 0.3822
O4 0.2356 0.0071 0.5676

Principal peaks in the range 2θ = 10–90°, most intense first:
(0 2 0), d 6.055, 14.6°, rel. 1000
(2 0 2), d 3.198, 27.9°, rel. 999
(1 1 2), d 4.983, 17.8°, rel. 861
(1 1 4), d 3.621, 24.6°, rel. 639
(2 0 4), d 2.735, 32.7°, rel. 637
(1 3 2), d 3.247, 27.5°, rel. 583